Structure and theoretical powder X-ray diffraction pattern of Pm5Sn2Se12 (the GGA-PBE geometry in Alexandria; CuKα).
Peak positions follow from Bragg's law for the DFT cell and can differ from measured ones.

Structure:
a = 9.026 Å, b = 9.026 Å, c = 9.292 Å
α = 106.04°, β = 106.04°, γ = 50.24°
Positions (direct):
1 Pm 0.000 0.000 0.000
2 Pm 0.293 0.293 0.139
3 Pm 0.311 0.311 0.669
4 Pm 0.689 0.689 0.331
5 Pm 0.707 0.707 0.861
6 Sn 0.256 0.744 0.500
7 Sn 0.744 0.256 0.500
8 Se 0.004 0.004 0.307
9 Se 0.093 0.562 0.412
10 Se 0.106 0.601 0.935
11 Se 0.399 0.894 0.065
12 Se 0.438 0.907 0.588
13 Se 0.496 0.496 0.284
14 Se 0.504 0.504 0.716
15 Se 0.562 0.093 0.412
16 Se 0.601 0.106 0.935
17 Se 0.894 0.399 0.065
18 Se 0.907 0.438 0.588
19 Se 0.996 0.996 0.693

The 12 most intense peaks (10° ≤ 2θ ≤ 90°), most intense first:
2theta  Rel. int.
20.7  100.0
22.4  95.9
30.9  74.1
38.8  68.4
34.6  67.8
30.7  62.8
41.9  58.4
32.8  51.3
47.5  48.6
42.5  38.6
40.3  34.5
34.7  33.6